For Li6Co6O5F11, a crystal structure in Alexandria, relaxed with GGA+U gives the theoretical powder diffraction line list in this record (Cu Kα X-rays).

Structural model:
Cell: 6.0260 6.0260 10.5044 Å, 107.46 107.46 58.91°
Sites, in units of the cell vectors:
Li1 0.0000 0.0000 0.0000
Li2 0.1433 0.1433 0.3835
Li3 0.3304 0.3304 0.9317
Li4 0.5082 0.5082 0.5017
Li5 0.5740 0.5740 0.1862
Li6 0.6357 0.6357 0.8720
Co1 0.0520 0.6098 0.6877
Co2 0.0652 0.0652 0.6889
Co3 0.1064 0.5543 0.1920
Co4 0.5543 0.1064 0.1920
Co5 0.6098 0.0520 0.6877
Co6 0.8273 0.8273 0.4582
O1 0.1718 0.7076 0.5641
O2 0.4414 0.4414 0.2978
O3 0.7076 0.1718 0.5641
O4 0.7076 0.7076 0.5601
O5 0.9467 0.9467 0.8068
F1 0.1999 0.1999 0.0601
F2 0.2058 0.6724 0.0677
F3 0.2076 0.2076 0.5818
F4 0.4374 0.4374 0.8078
F5 0.4440 0.9687 0.8079
F6 0.4679 0.9441 0.3040
F7 0.6724 0.2058 0.0677
F8 0.7185 0.7185 0.0854
F9 0.9399 0.9399 0.3093
F10 0.9441 0.4679 0.3040
F11 0.9687 0.4440 0.8079

Largest 10 diffraction maxima, in order of rising 2θ, 10° ≤ 2θ ≤ 80°:
17.46 deg, intensity 11
18.00 deg, intensity 100
18.17 deg, intensity 31
34.64 deg, intensity 15
35.34 deg, intensity 30
41.98 deg, intensity 31
42.86 deg, intensity 56
46.56 deg, intensity 11
56.46 deg, intensity 11
61.55 deg, intensity 34